Diffraction record for Ge2SbO6. The powder diffraction line list is calculated, not measured: it uses a DFT-relaxed cell (PBE, the Materials Project) and Cu Kα (weighted mean of Kα1 and Kα2).
Neutral-atom scattering factors, no anomalous dispersion.

Cell and atoms:
a = 7.001 Å, b = 7.001 Å, c = 5.745 Å
α = 103.87°, β = 103.87°, γ = 84.66°
Fractional positions:
Ge: 0.119 0.283 0.257
Ge: 0.283 0.119 0.757
Ge: 0.717 0.881 0.243
Ge: 0.881 0.717 0.743
Sb: 0.385 0.615 0.750
Sb: 0.615 0.385 0.250
O: 0.113 0.164 0.494
O: 0.113 0.598 0.810
O: 0.164 0.113 0.994
O: 0.322 0.452 0.373
O: 0.402 0.887 0.690
O: 0.452 0.322 0.873
O: 0.548 0.678 0.127
O: 0.598 0.113 0.310
O: 0.678 0.548 0.627
O: 0.836 0.887 0.006
O: 0.887 0.402 0.190
O: 0.887 0.836 0.506

Largest 12 diffraction maxima, most intense first, 2θ from 15° to 90°:
2θ = 27.67°, I 100
2θ = 18.47°, I 76
2θ = 28.95°, I 76
2θ = 34.13°, I 55
2θ = 32.96°, I 43
2θ = 23.14°, I 39
2θ = 18.82°, I 35
2θ = 32.69°, I 32
2θ = 36.77°, I 23
2θ = 62.79°, I 20
2θ = 51.56°, I 20
2θ = 52.99°, I 19